Hf9Re4As: theoretical powder XRD pattern (Cu Kα, 1.54184 Å), based on a DFT-relaxed cell (GGA-PBE, the Materials Project).

Main lines, by angle (2θ from 10° to 90°):
2θ 11.85, 7.465 Å, I 25; 2θ 31.67, 2.825 Å, I 26; 2θ 37.65, 2.389 Å, I 40; 2θ 38.08, 2.363 Å, I 100; 2θ 39.50, 2.281 Å, I 39; 2θ 41.83, 2.160 Å, I 38

Cell and atoms:
```
Hf9Re4As
1.0
4.3017 -7.4800 0.0000
4.3017 7.4800 0.0000
0.0000 0.0000 8.6462
Hf Re As
18 8 2
Direct
0.0404 0.5811 0.7500
0.0407 0.9593 0.7500
0.1120 0.3062 0.5449
0.1120 0.3062 0.9551
0.3051 0.6949 0.0446
0.3051 0.6949 0.4554
0.3062 0.1120 0.0449
0.3062 0.1120 0.4551
0.4189 0.9596 0.7500
0.5811 0.0404 0.2500
0.6938 0.8880 0.5449
0.6938 0.8880 0.9551
0.6949 0.3051 0.5446
0.6949 0.3051 0.9554
0.8880 0.6938 0.0449
0.8880 0.6938 0.4551
0.9593 0.0407 0.2500
0.9596 0.4189 0.2500
0.2825 0.3914 0.2500
0.3914 0.2825 0.7500
0.3909 0.6091 0.7500
0.5000 0.5000 0.0000
0.5000 0.5000 0.5000
0.6091 0.3909 0.2500
0.6086 0.7175 0.2500
0.7175 0.6086 0.7500
0.1667 0.8333 0.2500
0.8333 0.1667 0.7500
```